For HoGa2Sn, a DFT-relaxed cell (GGA-PBE, Alexandria) gives the simulated PXRD pattern in this record (λ = 1.5418 Å (Cu Kα)).
Lines closer than 0.1° are merged.

Largest 10 diffraction maxima, by angle, 10 to 90 degrees two-theta:
d (Å)	I_rel	hkl
3.687	15	1 0 0
2.607	61	1 1 0
2.451	100	1 0 2
1.844	22	2 0 0
1.473	41	2 1 2
1.388	16	1 1 4
1.304	7	2 2 0
1.225	10	2 0 4
1.166	10	3 1 0
1.151	9	3 0 2

Atomic structure:
abc: 3.687 3.687 6.561
angles: 90.00 90.00 90.00
Space group P4/mmm (No. 123)
Unique sites:
Ho1 0.000 0.000 0.000 [1 per cell]
Ga1 0.500 0.500 0.271 [2 per cell]
Sn1 0.000 0.000 0.500 [1 per cell]